Theoretical XRD peak list of Os2RhPbO8 for Cu Kα, from a DFT-relaxed cell (GGA-PBE, Alexandria).
Kinematic intensities with the Lorentz-polarization factor, no thermal factor.

Cell and atoms:
```
data_Os2RhPbO8
_space_group_name_H-M_alt 'C m m m'
_space_group_IT_number 65
_space_group_name_Hall '-C 2 2'
_cell_length_a 6.6219
_cell_length_b 6.8233
_cell_length_c 6.5230
_cell_angle_alpha 90.00
_cell_angle_beta 90.00
_cell_angle_gamma 90.00
loop_
_atom_site_label
_atom_site_fract_x
_atom_site_fract_y
_atom_site_fract_z
Os1 0.0000 0.0000 0.2408
Rh1 0.0000 0.5000 0.0000
Pb1 0.0000 0.5000 0.5000
O1 0.0000 0.1670 0.5000
O2 0.0000 0.1880 0.0000
O3 0.2148 0.5000 0.2254
```

Principal peaks in the range 2θ = 15–90°, in order of rising 2θ:
(hkl)	2θ (°)	I/Imax
0 2 0	26.12	58.1
2 0 0	26.93	50.7
1 1 2	33.32	100.0
2 2 0	37.87	29.9
1 3 2	50.85	39.8
3 1 2	51.77	34.2
4 2 0	62.34	9.7
0 2 4	63.20	9.3
3 3 2	65.51	20.5
2 2 4	69.97	10.9

=====

Theoretical XRD peak list of OsRhPb2O6 for Cu Kα, from a DFT-relaxed cell (GGA-PBE, Alexandria).
Kinematic intensities with the Lorentz-polarization factor, no thermal factor.

Cell and atoms:
```
data_OsRhPb2O6
_space_group_name_H-M_alt 'R -3 m'
_space_group_IT_number 166
_space_group_name_Hall '-R 3 2"'
_cell_length_a 5.8222
_cell_length_b 5.8222
_cell_length_c 28.9406
_cell_angle_alpha 90.00
_cell_angle_beta 90.00
_cell_angle_gamma 120.00
loop_
_atom_site_label
_atom_site_fract_x
_atom_site_fract_y
_atom_site_fract_z
Os1 0.0000 0.0000 0.0000
Os2 0.0000 0.0000 0.5000
Rh1 0.0000 0.0000 0.0923
Pb1 0.0000 0.0000 0.2280
Pb2 0.0000 0.0000 0.3863
O1 0.0280 0.5140 0.6214
O2 0.0326 0.5163 0.2101
```

Principal peaks in the range 2θ = 15–90°, in order of rising 2θ:
(hkl)	2θ (°)	I/Imax
0 1 5	23.40	14.9
1 0 7	27.91	20.5
0 1 8	30.41	41.3
1 1 0	30.71	100.0
1 0 10	35.77	18.7
2 0 8	43.77	18.9
1 0 13	44.49	15.0
1 2 8	54.42	18.4
3 0 0	54.60	20.4
2 2 0	63.96	16.7

=====

Theoretical XRD peak list of OsRuPbO6 for Cu Kα, from a DFT-relaxed cell (GGA-PBE, Alexandria).
Kinematic intensities with the Lorentz-polarization factor, no thermal factor.

Cell and atoms:
```
data_OsRuPbO6
_space_group_name_H-M_alt 'I m m a'
_space_group_IT_number 74
_space_group_name_Hall '-I 2b 2'
_cell_length_a 7.1260
_cell_length_b 7.2173
_cell_length_c 10.3074
_cell_angle_alpha 90.00
_cell_angle_beta 90.00
_cell_angle_gamma 90.00
loop_
_atom_site_label
_atom_site_fract_x
_atom_site_fract_y
_atom_site_fract_z
Os1 0.0000 0.0000 0.0000
Ru1 0.2500 0.2500 0.2500
Pb1 0.0000 0.2500 0.5467
O1 0.0000 0.2500 0.3252
O2 0.0000 0.2500 0.9381
O3 0.1956 0.0560 0.1210
```

Principal peaks in the range 2θ = 15–90°, in order of rising 2θ:
(hkl)	2θ (°)	I/Imax
0 0 2	17.21	37.9
2 0 0	24.99	17.1
0 1 3	28.78	25.0
1 2 1	29.06	100.0
2 1 1	29.27	18.4
2 0 2	30.50	62.6
1 2 3	38.31	26.0
3 2 1	46.62	22.6
0 4 0	50.55	19.4
2 4 2	60.23	18.6

=====

Theoretical XRD peak list of TbOsPb2O6 for Cu Kα, from a DFT-relaxed cell (GGA-PBE, Alexandria).
Kinematic intensities with the Lorentz-polarization factor, no thermal factor.

Cell and atoms:
```
data_TbOsPb2O6
_space_group_name_H-M_alt 'P 1 21/c 1'
_space_group_IT_number 14
_cell_length_a 5.8979
_cell_length_b 5.9025
_cell_length_c 10.1708
_cell_angle_alpha 90.00
_cell_angle_beta 125.07
_cell_angle_gamma 90.00
loop_
_space_group_symop_operation_xyz
'x,y,z'
'-x,-y,-z'
'-x,y+1/2,-z+1/2'
'x,-y+1/2,z+1/2'
loop_
_atom_site_label
_atom_site_fract_x
_atom_site_fract_y
_atom_site_fract_z
Tb1 0.0000 0.0000 0.0000
Os1 0.5000 0.0000 0.5000
Pb1 0.2617 0.0268 0.7528
O1 0.1918 0.0144 0.2680
O2 0.2781 0.7019 0.0420
O3 0.3435 0.2312 0.0399
```

Principal peaks in the range 2θ = 15–90°, in order of rising 2θ:
(hkl)	2θ (°)	I/Imax
1 1 1	30.28	100.0
1 1 -3	30.41	50.3
2 2 -2	43.38	23.9
0 0 4	43.49	12.4
2 0 2	53.75	26.0
0 2 4	53.89	20.5
3 1 -5	54.00	11.4
2 2 2	62.96	10.6
1 1 5	71.55	8.8
5 1 -3	87.33	8.6

=====

Theoretical XRD peak list of TmOsPb2O8 for Cu Kα, from a DFT-relaxed cell (GGA-PBE, Alexandria).
Kinematic intensities with the Lorentz-polarization factor, no thermal factor.

Cell and atoms:
```
data_TmOsPb2O8
_space_group_name_H-M_alt 'P 1 2/m 1'
_space_group_IT_number 10
_cell_length_a 5.0583
_cell_length_b 6.7300
_cell_length_c 5.0592
_cell_angle_alpha 90.00
_cell_angle_beta 90.37
_cell_angle_gamma 90.00
loop_
_space_group_symop_operation_xyz
'x,y,z'
'-x,-y,-z'
'-x,y,-z'
'x,-y,z'
loop_
_atom_site_label
_atom_site_fract_x
_atom_site_fract_y
_atom_site_fract_z
Tm1 0.0000 0.0000 0.0000
Os1 0.0000 0.5000 0.0000
Pb1 0.5000 0.2512 0.5000
O1 0.1808 0.2798 0.1818
O2 0.2614 0.5000 0.7403
O3 0.3048 0.0000 0.6960
```

Principal peaks in the range 2θ = 15–90°, in order of rising 2θ:
(hkl)	2θ (°)	I/Imax
1 0 -1	24.81	53.7
1 0 1	24.97	55.1
0 2 1	31.94	100.0
2 0 0	35.49	31.8
2 2 -1	48.40	36.5
1 2 2	48.58	39.3
3 0 -1	57.50	10.7
1 4 1	60.84	18.7
3 2 0	61.51	21.2
2 4 0	66.78	11.6